No. 1
Simulated powder diffractogram of KZr12Te16 for a wavelength of 1.5418 Å, from the GGA-PBE geometry in Alexandria.
Kinematic intensities with the Lorentz-polarization factor, no thermal factor.

Atomic structure:
```
data_KZr12Te16
_chemical_formula_sum 'K1 Zr12 Te16'
_space_group_name_H-M_alt 'P 1'
_space_group_IT_number 1
_space_group_name_Hall 'P 1'
_cell_length_a 7.918
_cell_length_b 11.169
_cell_length_c 11.847
_cell_angle_alpha 61.88
_cell_angle_beta 70.49
_cell_angle_gamma 89.99
loop_
_atom_site_label
_atom_site_type_symbol
_atom_site_fract_x
_atom_site_fract_y
_atom_site_fract_z
K1 K 0.000 0.000 0.000
Zr1 Zr 0.120 0.367 0.508
Zr2 Zr 0.188 0.492 0.876
Zr3 Zr 0.193 0.125 0.367
Zr4 Zr 0.310 0.876 0.633
Zr5 Zr 0.313 0.508 0.125
Zr6 Zr 0.378 0.633 0.492
Zr7 Zr 0.622 0.367 0.508
Zr8 Zr 0.687 0.492 0.875
Zr9 Zr 0.690 0.124 0.367
Zr10 Zr 0.807 0.875 0.633
Zr11 Zr 0.812 0.508 0.124
Zr12 Zr 0.880 0.633 0.492
Te1 Te 0.041 0.667 0.667
Te2 Te 0.046 0.055 0.655
Te3 Te 0.154 0.710 0.945
Te4 Te 0.231 0.655 0.289
Te5 Te 0.271 0.345 0.710
Te6 Te 0.348 0.289 0.055
Te7 Te 0.452 0.945 0.344
Te8 Te 0.458 0.334 0.334
Te9 Te 0.542 0.666 0.666
Te10 Te 0.548 0.055 0.656
Te11 Te 0.652 0.711 0.945
Te12 Te 0.729 0.655 0.290
Te13 Te 0.769 0.345 0.711
Te14 Te 0.846 0.290 0.055
Te15 Te 0.954 0.945 0.345
Te16 Te 0.959 0.333 0.333
```

The 10 most intense peaks (10° ≤ 2θ ≤ 90°), low angle first:
h k l, 2theta, I (rel.)
0 0 3, 27.65, 55
2 0 3, 29.15, 36
2 2 4, 33.38, 100
2 4 3, 39.50, 41
4 0 2, 45.84, 16
2 2 -2, 46.93, 23
2 3 6, 46.96, 17
4 0 -1, 54.41, 12
4 4 3, 57.90, 16
2 5 -2, 72.43, 21



No. 2
Simulated powder diffractogram of K3ZrTe3 for a wavelength of 1.5418 Å, from the GGA-PBE geometry in Alexandria.
Kinematic intensities with the Lorentz-polarization factor, no thermal factor.

Atomic structure:
```
data_K3ZrTe3
_chemical_formula_sum 'K12 Zr4 Te12'
_space_group_name_H-M_alt 'P 1'
_space_group_IT_number 1
_space_group_name_Hall 'P 1'
_cell_length_a 8.871
_cell_length_b 14.371
_cell_length_c 11.509
_cell_angle_alpha 90.00
_cell_angle_beta 127.87
_cell_angle_gamma 90.00
loop_
_atom_site_label
_atom_site_type_symbol
_atom_site_fract_x
_atom_site_fract_y
_atom_site_fract_z
K1 K 0.096 0.138 0.473
K2 K 0.096 0.362 0.973
K3 K 0.142 0.066 0.904
K4 K 0.142 0.434 0.404
K5 K 0.388 0.687 0.585
K6 K 0.388 0.813 0.085
K7 K 0.612 0.187 0.915
K8 K 0.612 0.313 0.415
K9 K 0.858 0.566 0.596
K10 K 0.858 0.934 0.096
K11 K 0.904 0.638 0.027
K12 K 0.904 0.862 0.527
Zr1 Zr 0.442 0.051 0.353
Zr2 Zr 0.442 0.449 0.853
Zr3 Zr 0.558 0.551 0.147
Zr4 Zr 0.558 0.949 0.647
Te1 Te 0.125 0.169 0.180
Te2 Te 0.125 0.331 0.680
Te3 Te 0.330 0.631 0.861
Te4 Te 0.330 0.869 0.361
Te5 Te 0.359 0.536 0.262
Te6 Te 0.359 0.964 0.762
Te7 Te 0.641 0.036 0.238
Te8 Te 0.641 0.464 0.738
Te9 Te 0.670 0.131 0.639
Te10 Te 0.670 0.369 0.139
Te11 Te 0.875 0.669 0.320
Te12 Te 0.875 0.831 0.820
```

The 10 most intense peaks (10° ≤ 2θ ≤ 90°), low angle first:
h k l, 2theta, I (rel.)
1 1 -1, 11.89, 61
1 2 0, 17.68, 63
2 0 -2, 20.44, 64
1 3 -1, 21.17, 85
2 1 -3, 25.13, 52
2 1 0, 26.20, 85
1 4 -1, 26.86, 100
1 3 1, 27.55, 59
3 2 -2, 32.98, 44
4 2 -3, 42.72, 52



No. 3
Simulated powder diffractogram of KTi4 for a wavelength of 1.5418 Å, from the GGA-PBE geometry in Alexandria.
Kinematic intensities with the Lorentz-polarization factor, no thermal factor.

Atomic structure:
```
data_KTi4
_chemical_formula_sum 'K1 Ti4'
_space_group_name_H-M_alt 'P 1'
_space_group_IT_number 1
_space_group_name_Hall 'P 1'
_cell_length_a 4.519
_cell_length_b 4.519
_cell_length_c 4.519
_cell_angle_alpha 90.00
_cell_angle_beta 90.00
_cell_angle_gamma 90.00
loop_
_atom_site_label
_atom_site_type_symbol
_atom_site_fract_x
_atom_site_fract_y
_atom_site_fract_z
K1 K 0.000 0.000 0.000
Ti1 Ti 0.000 0.000 0.500
Ti2 Ti 0.000 0.500 0.000
Ti3 Ti 0.500 0.000 0.000
Ti4 Ti 0.500 0.500 0.500
```

The 10 most intense peaks (10° ≤ 2θ ≤ 90°), low angle first:
h k l, 2theta, I (rel.)
1 0 0, 19.65, 22
1 1 0, 27.92, 18
1 1 1, 34.38, 88
2 0 0, 39.90, 100
2 1 0, 44.85, 8
2 1 1, 49.41, 6
2 2 0, 57.71, 60
3 1 1, 68.92, 29
2 2 2, 72.46, 19
4 0 0, 86.07, 9



What is the formula in the third record? KTi4